Theoretical X-ray diffraction stick pattern
Compound: CuTe3Br
Radiation: Cu Kα
Structure: a DFT-relaxed cell (PBE, Alexandria)
Intensities are scaled so that the largest is 1000.

```
data_CuTe3Br
_chemical_formula_sum 'Cu4 Te12 Br4'
_cell_length_a 9.1830
_cell_length_b 6.4505
_cell_length_c 11.2567
_cell_angle_alpha 90.00
_cell_angle_beta 90.00
_cell_angle_gamma 90.00
_space_group_name_H-M_alt 'I m a 2'
_space_group_IT_number 46
_space_group_name_Hall 'I 2 -2a'
loop_
_atom_site_label
_atom_site_fract_x
_atom_site_fract_y
_atom_site_fract_z
Cu1 0.2500 0.1743 0.0000
Te1 0.0195 0.2280 0.3670
Te2 0.2500 0.1687 0.7118
Br1 0.2500 0.6970 0.5403
```

Most intense lines, 15° ≤ 2θ ≤ 90°, sorted by position:
| index | Position (°2θ) | intensity |
| --- | --- | --- |
| 1 1 0 | 16.8 | 278 |
| 2 0 2 | 25.0 | 1000 |
| 0 2 0 | 27.7 | 473 |
| 2 0 4 | 37.5 | 458 |
| 2 2 2 | 37.6 | 441 |
| 2 2 4 | 47.2 | 306 |